Simulated PXRD pattern of Sm4IrPt for copper Kα, from a GGA-PBE-relaxed structure.
No peak broadening, texture or thermal motion is included.

Unit cell a=7.0555 b=7.0388 c=7.0482 alpha=90.00 beta=91.49 gamma=90.00
Atoms (fractional coordinates):
1 Sm 0.1697 0.1738 0.1802
2 Sm 0.1697 0.3262 0.6802
3 Sm 0.3230 0.6724 0.1670
4 Sm 0.3230 0.8276 0.6670
5 Sm 0.6770 0.1724 0.3330
6 Sm 0.6770 0.3276 0.8330
7 Sm 0.8303 0.6738 0.3198
8 Sm 0.8303 0.8262 0.8198
9 Ir 0.0000 0.0000 0.5000
10 Ir 0.0000 0.5000 0.0000
11 Pt 0.5000 0.0000 0.0000
12 Pt 0.5000 0.5000 0.5000

Main lines, sorted by position (2θ from 10° to 80°):
| 2θ (°) | d (Å) | Rel. int. |
| --- | --- | --- |
| 21.66 | 4.104 | 52 |
| 22.04 | 4.033 | 50 |
| 28.33 | 3.151 | 100 |
| 28.62 | 3.119 | 27 |
| 36.06 | 2.490 | 92 |
| 36.52 | 2.461 | 23 |
| 42.22 | 2.140 | 48 |
| 42.48 | 2.128 | 23 |
| 42.85 | 2.110 | 43 |
| 58.61 | 1.575 | 35 |

=====

Simulated PXRD pattern of Sm8IrPt2 for copper Kα, from a GGA-PBE-relaxed structure.
No peak broadening, texture or thermal motion is included.

Unit cell a=7.6676 b=7.6676 c=6.3211 alpha=101.44 beta=101.44 gamma=112.15
Atoms (fractional coordinates):
1 Sm 0.0000 0.0000 0.0000
2 Sm 0.0117 0.2733 0.5834
3 Sm 0.1545 0.5589 0.1889
4 Sm 0.2733 0.0117 0.5834
5 Sm 0.4359 0.6978 0.8131
6 Sm 0.5589 0.1545 0.1889
7 Sm 0.6978 0.4359 0.8131
8 Sm 0.7070 0.7070 0.3712
9 Ir 0.3506 0.3506 0.9910
10 Pt 0.0352 0.6671 0.6853
11 Pt 0.6671 0.0352 0.6853

Main lines, sorted by position (2θ from 10° to 80°):
| 2θ (°) | d (Å) | Rel. int. |
| --- | --- | --- |
| 14.99 | 5.909 | 36 |
| 30.29 | 2.951 | 100 |
| 31.95 | 2.801 | 44 |
| 32.32 | 2.770 | 62 |
| 33.44 | 2.680 | 48 |
| 33.73 | 2.657 | 42 |
| 38.16 | 2.359 | 28 |
| 38.58 | 2.334 | 56 |
| 39.93 | 2.258 | 32 |
| 51.60 | 1.771 | 27 |

=====

Simulated PXRD pattern of Sm4IrPt2 for copper Kα, from a GGA-PBE-relaxed structure.
No peak broadening, texture or thermal motion is included.

Unit cell a=7.8789 b=7.8789 c=7.8789 alpha=109.95 beta=109.88 gamma=108.58
Atoms (fractional coordinates):
1 Sm 0.1919 0.2461 0.5541
2 Sm 0.1919 0.6378 0.9459
3 Sm 0.2462 0.1920 0.0542
4 Sm 0.3621 0.8080 0.5542
5 Sm 0.6379 0.1920 0.4458
6 Sm 0.7538 0.8080 0.9458
7 Sm 0.8081 0.3622 0.0541
8 Sm 0.8081 0.7539 0.4459
9 Ir 0.1244 0.8744 0.2500
10 Ir 0.8756 0.1256 0.7500
11 Pt 0.0000 0.5000 0.5000
12 Pt 0.5000 0.0000 0.0000
13 Pt 0.5000 0.5000 0.0000
14 Pt 0.5000 0.5000 0.5000

Main lines, sorted by position (2θ from 10° to 80°):
| 2θ (°) | d (Å) | Rel. int. |
| --- | --- | --- |
| 19.62 | 4.524 | 24 |
| 27.89 | 3.199 | 69 |
| 30.79 | 2.904 | 100 |
| 37.00 | 2.429 | 26 |
| 37.14 | 2.421 | 69 |
| 39.85 | 2.262 | 54 |
| 42.03 | 2.150 | 24 |
| 46.78 | 1.942 | 23 |
| 48.78 | 1.867 | 27 |
| 59.30 | 1.558 | 26 |

=====

Simulated PXRD pattern of SrIrPt for copper Kα, from a GGA-PBE-relaxed structure.
No peak broadening, texture or thermal motion is included.

Unit cell a=5.4026 b=5.5698 c=7.9072 alpha=90.00 beta=90.00 gamma=90.00
Atoms (fractional coordinates):
1 Sr 0.0000 0.2500 0.1230
2 Sr 0.0000 0.7500 0.8770
3 Sr 0.5000 0.2500 0.3770
4 Sr 0.5000 0.7500 0.6230
5 Ir 0.2500 0.2500 0.7500
6 Ir 0.2500 0.7500 0.2500
7 Ir 0.7500 0.2500 0.7500
8 Ir 0.7500 0.7500 0.2500
9 Pt 0.0000 0.0000 0.5000
10 Pt 0.0000 0.5000 0.5000
11 Pt 0.5000 0.0000 0.0000
12 Pt 0.5000 0.5000 0.0000

Main lines, sorted by position (2θ from 10° to 80°):
| 2θ (°) | d (Å) | Rel. int. |
| --- | --- | --- |
| 19.49 | 4.554 | 66 |
| 19.90 | 4.461 | 64 |
| 37.76 | 2.382 | 51 |
| 37.98 | 2.369 | 49 |
| 38.09 | 2.362 | 100 |
| 38.76 | 2.323 | 92 |
| 39.58 | 2.277 | 99 |
| 40.44 | 2.230 | 96 |
| 46.86 | 1.939 | 37 |
| 67.69 | 1.384 | 64 |

=====

Simulated PXRD pattern of SrIrPt4 for copper Kα, from a GGA-PBE-relaxed structure.
No peak broadening, texture or thermal motion is included.

Unit cell a=5.3805 b=5.3805 c=5.3805 alpha=60.00 beta=60.00 gamma=60.00
Atoms (fractional coordinates):
1 Sr 0.0000 0.0000 0.0000
2 Ir 0.7500 0.7500 0.7500
3 Pt 0.3758 0.3758 0.3758
4 Pt 0.3758 0.3758 0.8727
5 Pt 0.3758 0.8727 0.3758
6 Pt 0.8727 0.3758 0.3758

Main lines, sorted by position (2θ from 10° to 80°):
| 2θ (°) | d (Å) | Rel. int. |
| --- | --- | --- |
| 20.21 | 4.393 | 21 |
| 33.30 | 2.690 | 18 |
| 39.27 | 2.294 | 100 |
| 41.09 | 2.197 | 52 |
| 47.81 | 1.902 | 10 |
| 52.41 | 1.746 | 5 |
| 59.52 | 1.553 | 7 |
| 63.53 | 1.464 | 33 |
| 69.94 | 1.345 | 30 |
| 73.65 | 1.286 | 4 |

=====

Simulated PXRD pattern of TaIrPt for copper Kα, from a GGA-PBE-relaxed structure.
No peak broadening, texture or thermal motion is included.

Unit cell a=2.8595 b=3.8710 c=8.6363 alpha=90.00 beta=90.00 gamma=90.00
Atoms (fractional coordinates):
1 Ta 0.0000 0.0000 0.0000
2 Ta 0.5000 0.5000 0.5000
3 Ir 0.0000 0.0000 0.6563
4 Ir 0.5000 0.5000 0.1563
5 Pt 0.0000 0.0000 0.3291
6 Pt 0.5000 0.5000 0.8291

Main lines, sorted by position (2θ from 10° to 80°):
| 2θ (°) | d (Å) | Rel. int. |
| --- | --- | --- |
| 38.99 | 2.310 | 100 |
| 39.17 | 2.300 | 99 |
| 44.67 | 2.029 | 69 |
| 46.94 | 1.935 | 30 |
| 58.65 | 1.574 | 1 |
| 64.77 | 1.439 | 11 |
| 65.26 | 1.430 | 11 |
| 66.80 | 1.400 | 42 |
| 78.37 | 1.220 | 26 |
| 78.71 | 1.216 | 27 |